# 1
# Pu3Pa2S8
Calculated powder diffractogram, Cu Kα. Input: a DFT-relaxed cell (PBE, Alexandria).
Intensities are scaled so that the largest is 1000.

Top 10 peaks for 10 to 90 degrees two-theta, most intense first:
hkl, 2θ/deg, I/Imax
2 4 1, 38.44, 1000
0 4 0, 26.92, 728
0 2 1, 23.20, 438
2 2 0, 23.33, 415
0 0 2, 38.30, 267
2 4 3, 69.36, 264
0 8 0, 55.50, 245
4 0 0, 38.62, 232
1 1 1, 22.23, 227
2 2 2, 45.34, 221

Crystal structure
Unit cell a=9.326 b=13.254 c=4.701 alpha=90.00 beta=90.00 gamma=90.00
Space group Cmmm (No. 65)
Inequivalent atoms, fractional coordinates:
Pu (0.000, 0.000, 0.000) [2 per cell]
Pu (0.227, 0.500, 0.500) [4 per cell]
Pa (0.000, 0.261, 0.000) [4 per cell]
S (0.000, 0.123, 0.500) [4 per cell]
S (0.000, 0.368, 0.500) [4 per cell]
S (0.246, 0.126, 0.000) [8 per cell]


# 2
# Pu4ThSe6
Calculated powder diffractogram, Cu Kα. Input: a DFT-relaxed cell (PBE, Alexandria).
Intensities are scaled so that the largest is 1000.

Top 10 peaks for 10 to 90 degrees two-theta, most intense first:
hkl, 2θ/deg, I/Imax
1 3 2, 30.62, 1000
0 2 5, 25.09, 837
0 6 4, 43.51, 736
1 3 3, 32.13, 630
0 4 0, 26.13, 494
1 1 8, 41.67, 447
0 6 5, 45.54, 427
1 3 1, 29.68, 425
2 0 0, 44.21, 382
2 2 5, 51.50, 348

Crystal structure
Unit cell a=4.098 b=13.621 c=20.798 alpha=90.00 beta=90.00 gamma=90.00
Space group Cmcm (No. 63)
Inequivalent atoms, fractional coordinates:
Pu (0.000, 0.089, 0.128) [8 per cell]
Pu (0.000, 0.360, 0.038) [8 per cell]
Th (0.000, 0.156, 0.750) [4 per cell]
Se (0.000, 0.000, 0.000) [4 per cell]
Se (0.000, 0.190, 0.250) [4 per cell]
Se (0.000, 0.269, 0.592) [8 per cell]
Se (0.000, 0.449, 0.168) [8 per cell]


# 3
# SmHoSiGe
Calculated powder diffractogram, Cu Kα. Input: a DFT-relaxed cell (PBE, Alexandria).
Intensities are scaled so that the largest is 1000.

Top 10 peaks for 10 to 90 degrees two-theta, most intense first:
hkl, 2θ/deg, I/Imax
1 1 1, 31.84, 1000
0 1 3, 32.45, 457
1 1 3, 39.92, 428
1 0 2, 28.15, 396
0 0 4, 33.40, 296
0 2 0, 41.66, 245
2 0 0, 46.20, 182
0 1 1, 22.11, 181
2 1 3, 57.59, 179
1 2 2, 51.03, 161

Crystal structure
Unit cell a=3.930 b=4.336 c=10.732 alpha=90.00 beta=90.00 gamma=90.00
Space group Amm2 (No. 38)
Inequivalent atoms, fractional coordinates:
Sm (0.000, 0.000, 0.000) [2 per cell]
Ho (0.500, 0.000, 0.278) [2 per cell]
Si (0.000, 0.000, 0.721) [2 per cell]
Ge (0.500, 0.000, 0.562) [2 per cell]


Repeat the third record exactly.
# SmHoSiGe
Calculated powder diffractogram, Cu Kα. Input: a DFT-relaxed cell (PBE, Alexandria).
Intensities are scaled so that the largest is 1000.

Top 10 peaks for 10 to 90 degrees two-theta, most intense first:
hkl, 2θ/deg, I/Imax
1 1 1, 31.84, 1000
0 1 3, 32.45, 457
1 1 3, 39.92, 428
1 0 2, 28.15, 396
0 0 4, 33.40, 296
0 2 0, 41.66, 245
2 0 0, 46.20, 182
0 1 1, 22.11, 181
2 1 3, 57.59, 179
1 2 2, 51.03, 161

Crystal structure
Unit cell a=3.930 b=4.336 c=10.732 alpha=90.00 beta=90.00 gamma=90.00
Space group Amm2 (No. 38)
Inequivalent atoms, fractional coordinates:
Sm (0.000, 0.000, 0.000) [2 per cell]
Ho (0.500, 0.000, 0.278) [2 per cell]
Si (0.000, 0.000, 0.721) [2 per cell]
Ge (0.500, 0.000, 0.562) [2 per cell]